[1]
Starting from a structure optimized by DFT (PBE), the powder diffraction line list of Pu2Tl3O9 was computed for copper Kα.
Peak positions follow from Bragg's law for the DFT cell and can differ from measured ones.

The 8 most intense peaks (10° ≤ 2θ ≤ 90°), by intensity:
two_theta, I_rel
18.87, 100
24.29, 58
30.64, 49
31.77, 41
16.87, 39
29.02, 36
49.20, 31
33.32, 30

Structure:
```
data_Pu2Tl3O9
_chemical_formula_sum 'Pu4 Tl6 O18'
_cell_length_a 6.1943
_cell_length_b 6.3410
_cell_length_c 16.4420
_cell_angle_alpha 86.96
_cell_angle_beta 83.88
_cell_angle_gamma 61.09
_space_group_name_H-M_alt 'P -1'
_space_group_IT_number 2
loop_
_space_group_symop_operation_xyz
'x,y,z'
'-x,-y,-z'
loop_
_atom_site_label
_atom_site_fract_x
_atom_site_fract_y
_atom_site_fract_z
Pu1 0.0672 0.2531 0.3456
Pu2 0.1824 0.2500 0.1547
Tl1 0.1975 0.1140 0.7519
Tl2 0.2707 0.7304 0.0001
Tl3 0.4956 0.2725 0.5021
O1 0.0640 0.0783 0.0718
O2 0.0845 0.5444 0.0939
O3 0.1203 0.8870 0.6067
O4 0.1322 0.6115 0.7798
O5 0.1420 0.4429 0.5961
O6 0.2470 0.3895 0.2840
O7 0.2630 0.9896 0.2438
O8 0.3505 0.0825 0.4294
O9 0.4895 0.8881 0.8949
```

=====

[2]
Starting from a structure optimized by DFT (PBE), the powder diffraction line list of PuTlO3 was computed for copper Kα.
Peak positions follow from Bragg's law for the DFT cell and can differ from measured ones.

The 8 most intense peaks (10° ≤ 2θ ≤ 90°), by intensity:
two_theta, I_rel
25.91, 100
30.28, 77
49.95, 45
51.20, 32
21.56, 31
40.26, 31
12.70, 23
53.79, 21

Structure:
```
data_PuTlO3
_chemical_formula_sum 'Pu4 Tl4 O12'
_cell_length_a 5.9035
_cell_length_b 5.9035
_cell_length_c 13.9419
_cell_angle_alpha 90.00
_cell_angle_beta 90.00
_cell_angle_gamma 120.00
_space_group_name_H-M_alt 'P -3 1 c'
_space_group_IT_number 163
_space_group_name_Hall '-P 3 2c'
loop_
_atom_site_label
_atom_site_fract_x
_atom_site_fract_y
_atom_site_fract_z
Pu1 0.0000 0.0000 0.2500
Pu2 0.3333 0.6667 0.2500
Tl1 0.3333 0.6667 0.5724
O1 0.0460 0.3338 0.1714
```

=====

[3]
Starting from a structure optimized by DFT (PBE), the powder diffraction line list of TmPu4O10 was computed for copper Kα.
Peak positions follow from Bragg's law for the DFT cell and can differ from measured ones.

The 8 most intense peaks (10° ≤ 2θ ≤ 90°), by intensity:
two_theta, I_rel
28.91, 100
48.12, 49
57.12, 46
33.51, 37
77.85, 19
89.84, 17
59.91, 10
80.29, 9

Structure:
```
data_TmPu4O10
_chemical_formula_sum 'Tm2 Pu8 O20'
_cell_length_a 3.7839
_cell_length_b 3.7839
_cell_length_c 26.7159
_cell_angle_alpha 90.00
_cell_angle_beta 90.00
_cell_angle_gamma 90.00
_space_group_name_H-M_alt 'I 4/m m m'
_space_group_IT_number 139
_space_group_name_Hall '-I 4 2'
loop_
_atom_site_label
_atom_site_fract_x
_atom_site_fract_y
_atom_site_fract_z
Tm1 0.0000 0.0000 0.0000
Pu1 0.0000 0.0000 0.1993
Pu2 0.0000 0.0000 0.4024
O1 0.0000 0.5000 0.0510
O2 0.0000 0.5000 0.1495
O3 0.0000 0.5000 0.2500
```